(1)
The following is a calculated X-ray powder pattern of PrHfCu2Sb4. It was derived from a crystal structure in OQMD, relaxed with GGA-PBE, using Cu Kα X-rays.
Peak positions follow from Bragg's law for the DFT cell and can differ from measured ones.

The 10 most intense peaks (10 to 90 degrees two-theta), low angle first:
d_spacing, 2θ (°), I_rel
3.234, 27.58, 17
2.606, 34.42, 17
2.583, 34.74, 100
2.460, 36.53, 10
2.146, 42.11, 40
1.788, 51.07, 20
1.617, 56.95, 11
1.517, 61.08, 13
1.374, 68.27, 13
1.308, 72.22, 23

Cell and atoms:
a = 4.291 Å, b = 4.291 Å, c = 9.838 Å
α = 90.00°, β = 90.00°, γ = 90.00°
Sites, in units of the cell vectors:
Pr 0.000 0.000 0.000
Hf 0.500 0.500 0.483
Cu 0.000 0.500 0.727
Cu 0.500 0.000 0.727
Sb 0.000 0.000 0.564
Sb 0.000 0.500 0.261
Sb 0.500 0.000 0.261
Sb 0.500 0.500 0.891

(2)
The following is a calculated X-ray powder pattern of LiSm2Fe2N3. It was derived from a crystal structure in OQMD, relaxed with GGA-PBE, using Cu Kα X-rays.
Peak positions follow from Bragg's law for the DFT cell and can differ from measured ones.

The 10 most intense peaks (10 to 90 degrees two-theta), low angle first:
d_spacing, 2θ (°), I_rel
3.125, 28.56, 70
2.812, 31.82, 87
2.768, 32.34, 74
2.754, 32.51, 100
2.701, 33.17, 39
2.661, 33.68, 88
2.467, 36.42, 42
2.441, 36.82, 25
1.956, 46.42, 26
1.650, 55.72, 39

Cell and atoms:
a = 6.212 Å, b = 6.212 Å, c = 6.284 Å
α = 91.51°, β = 91.51°, γ = 119.50°
Sites, in units of the cell vectors:
Li 0.188 0.812 0.750
Li 0.812 0.188 0.250
Sm 0.176 0.319 0.909
Sm 0.319 0.176 0.409
Sm 0.681 0.824 0.591
Sm 0.824 0.681 0.091
Fe 0.169 0.576 0.393
Fe 0.424 0.831 0.107
Fe 0.576 0.169 0.893
Fe 0.831 0.424 0.607
N 0.009 0.266 0.529
N 0.266 0.009 0.029
N 0.430 0.570 0.250
N 0.570 0.430 0.750
N 0.734 0.991 0.971
N 0.991 0.734 0.471

(3)
The following is a calculated X-ray powder pattern of TbInGa4Ir. It was derived from a crystal structure in OQMD, relaxed with GGA-PBE, using Cu Kα X-rays.
Peak positions follow from Bragg's law for the DFT cell and can differ from measured ones.

The 10 most intense peaks (10 to 90 degrees two-theta), low angle first:
d_spacing, 2θ (°), I_rel
4.436, 20.02, 30
3.730, 23.86, 17
2.855, 31.33, 14
2.721, 32.91, 17
2.320, 38.82, 100
2.218, 40.68, 53
1.568, 58.88, 18
1.510, 61.40, 10
1.361, 69.03, 10
1.299, 72.79, 31

Cell and atoms:
a = 4.436 Å, b = 4.436 Å, c = 6.891 Å
α = 90.00°, β = 90.00°, γ = 90.00°
Sites, in units of the cell vectors:
Tb 0.000 0.000 0.000
In 0.500 0.500 0.000
Ga 0.000 0.500 0.307
Ga 0.000 0.500 0.693
Ga 0.500 0.000 0.307
Ga 0.500 0.000 0.693
Ir 0.000 0.000 0.500

(4)
The following is a calculated X-ray powder pattern of CoTcCl6. It was derived from a crystal structure in OQMD, relaxed with GGA-PBE, using Cu Kα X-rays.
Peak positions follow from Bragg's law for the DFT cell and can differ from measured ones.

The 10 most intense peaks (10 to 90 degrees two-theta), low angle first:
d_spacing, 2θ (°), I_rel
5.959, 14.87, 82
5.242, 16.91, 18
5.044, 17.58, 32
4.522, 19.63, 22
3.936, 22.59, 14
2.988, 29.90, 28
2.508, 35.80, 100
1.797, 50.82, 21
1.751, 52.24, 20
1.434, 65.05, 14

Cell and atoms:
a = 6.070 Å, b = 10.484 Å, c = 6.286 Å
α = 90.00°, β = 108.55°, γ = 90.00°
Sites, in units of the cell vectors:
Co 0.000 0.000 0.000
Co 0.500 0.500 0.000
Tc 0.000 0.333 0.000
Tc 0.500 0.833 0.000
Cl 0.222 0.169 0.231
Cl 0.245 0.341 0.772
Cl 0.247 0.489 0.229
Cl 0.253 0.989 0.771
Cl 0.255 0.841 0.228
Cl 0.278 0.669 0.769
Cl 0.722 0.669 0.231
Cl 0.745 0.841 0.772
Cl 0.747 0.989 0.229
Cl 0.753 0.489 0.771
Cl 0.755 0.341 0.228
Cl 0.778 0.169 0.769

(5)
The following is a calculated X-ray powder pattern of TmScAg4. It was derived from a crystal structure in OQMD, relaxed with GGA-PBE, using Cu Kα X-rays.
Peak positions follow from Bragg's law for the DFT cell and can differ from measured ones.

The 10 most intense peaks (10 to 90 degrees two-theta), low angle first:
d_spacing, 2θ (°), I_rel
2.826, 31.66, 9
2.558, 35.08, 67
2.317, 38.87, 100
1.809, 50.45, 24
1.426, 65.46, 41
1.299, 72.78, 14
1.279, 74.12, 8
1.159, 83.43, 10
1.144, 84.73, 10
1.120, 87.01, 9

Cell and atoms:
a = 3.618 Å, b = 3.618 Å, c = 9.051 Å
α = 90.00°, β = 90.00°, γ = 90.00°
Sites, in units of the cell vectors:
Tm 0.000 0.000 0.000
Sc 0.500 0.500 0.500
Ag 0.000 0.000 0.339
Ag 0.000 0.000 0.661
Ag 0.500 0.500 0.174
Ag 0.500 0.500 0.826

(6)
The following is a calculated X-ray powder pattern of Ho6TmNi2Te2. It was derived from a crystal structure in OQMD, relaxed with GGA-PBE, using Cu Kα X-rays.
Peak positions follow from Bragg's law for the DFT cell and can differ from measured ones.

The 10 most intense peaks (10 to 90 degrees two-theta), low angle first:
d_spacing, 2θ (°), I_rel
3.082, 28.97, 22
2.954, 30.25, 22
2.932, 30.48, 51
2.705, 33.11, 78
2.623, 34.18, 100
2.588, 34.66, 73
2.445, 36.77, 22
2.332, 38.61, 19
1.918, 47.41, 29
1.564, 59.05, 30

Cell and atoms:
a = 9.311 Å, b = 9.311 Å, c = 9.311 Å
α = 156.23°, β = 66.88°, γ = 118.52°
Sites, in units of the cell vectors:
Ho 0.111 0.796 0.315
Ho 0.133 0.000 0.133
Ho 0.482 0.796 0.685
Ho 0.501 0.147 0.354
Ho 0.794 0.147 0.646
Ho 0.867 0.000 0.867
Tm 0.417 0.417 0.000
Ni 0.252 0.489 0.763
Ni 0.727 0.489 0.237
Te 0.152 0.652 0.500
Te 0.754 0.754 0.000

(7)
The following is a calculated X-ray powder pattern of Dy2TmMg4Tl2. It was derived from a crystal structure in OQMD, relaxed with GGA-PBE, using Cu Kα X-rays.
Peak positions follow from Bragg's law for the DFT cell and can differ from measured ones.

The 10 most intense peaks (10 to 90 degrees two-theta), low angle first:
d_spacing, 2θ (°), I_rel
6.545, 13.53, 70
2.927, 30.54, 100
2.675, 33.50, 57
2.666, 33.61, 29
2.470, 36.38, 17
2.314, 38.91, 23
2.184, 41.33, 20
1.975, 45.96, 15
1.689, 54.31, 16
1.428, 65.33, 19

Cell and atoms:
a = 4.629 Å, b = 7.545 Å, c = 7.545 Å
α = 119.69°, β = 90.00°, γ = 90.00°
Sites, in units of the cell vectors:
Dy 0.000 0.218 0.782
Dy 0.000 0.782 0.218
Tm 0.000 0.345 0.345
Mg 0.000 0.779 0.779
Mg 0.500 0.023 0.023
Mg 0.500 0.539 0.782
Mg 0.500 0.782 0.539
Tl 0.500 0.117 0.448
Tl 0.500 0.448 0.117

(8)
The following is a calculated X-ray powder pattern of KRbTlAu3. It was derived from a crystal structure in OQMD, relaxed with GGA-PBE, using Cu Kα X-rays.
Peak positions follow from Bragg's law for the DFT cell and can differ from measured ones.

The 10 most intense peaks (10 to 90 degrees two-theta), low angle first:
d_spacing, 2θ (°), I_rel
5.498, 16.12, 88
4.900, 18.10, 100
3.199, 27.89, 58
2.880, 31.05, 27
2.796, 32.02, 46
2.750, 32.56, 85
2.305, 39.07, 35
2.161, 41.80, 26
2.140, 42.23, 42
2.132, 42.39, 25

Cell and atoms:
a = 5.760 Å, b = 6.808 Å, c = 9.326 Å
α = 90.00°, β = 90.00°, γ = 90.00°
Sites, in units of the cell vectors:
K 0.250 0.000 0.130
K 0.750 0.000 0.870
Rb 0.250 0.500 0.366
Rb 0.750 0.500 0.634
Tl 0.250 0.000 0.573
Tl 0.750 0.000 0.427
Au 0.000 0.500 0.000
Au 0.250 0.285 0.789
Au 0.250 0.715 0.789
Au 0.500 0.500 0.000
Au 0.750 0.285 0.211
Au 0.750 0.715 0.211

(9)
The following is a calculated X-ray powder pattern of NdH2BrO2. It was derived from a crystal structure in OQMD, relaxed with GGA-PBE, using Cu Kα X-rays.
Peak positions follow from Bragg's law for the DFT cell and can differ from measured ones.

The 10 most intense peaks (10 to 90 degrees two-theta), low angle first:
d_spacing, 2θ (°), I_rel
5.431, 16.32, 26
3.647, 24.41, 46
3.173, 28.13, 100
2.870, 31.17, 35
2.716, 32.98, 29
2.667, 33.61, 41
2.483, 36.18, 59
2.315, 38.90, 54
2.230, 40.45, 26
1.823, 50.03, 31

Cell and atoms:
a = 6.207 Å, b = 3.909 Å, c = 6.954 Å
α = 90.00°, β = 112.39°, γ = 90.00°
Sites, in units of the cell vectors:
Nd 0.192 0.250 0.374
Nd 0.808 0.750 0.626
H 0.196 0.250 0.802
H 0.383 0.750 0.717
H 0.617 0.250 0.283
H 0.804 0.750 0.198
Br 0.266 0.750 0.054
Br 0.734 0.250 0.946
O 0.072 0.250 0.663
O 0.397 0.750 0.582
O 0.603 0.250 0.418
O 0.928 0.750 0.337

(10)
The following is a calculated X-ray powder pattern of Ho2Tm2I5N. It was derived from a crystal structure in OQMD, relaxed with GGA-PBE, using Cu Kα X-rays.
Peak positions follow from Bragg's law for the DFT cell and can differ from measured ones.

The 10 most intense peaks (10 to 90 degrees two-theta), low angle first:
d_spacing, 2θ (°), I_rel
8.271, 10.70, 39
3.188, 27.99, 12
3.122, 28.59, 36
2.948, 30.32, 22
2.860, 31.27, 100
2.692, 33.29, 42
2.503, 35.88, 13
2.115, 42.76, 33
2.105, 42.97, 19
1.940, 46.84, 19

Cell and atoms:
a = 9.785 Å, b = 9.785 Å, c = 8.469 Å
α = 102.17°, β = 102.17°, γ = 22.87°
Sites, in units of the cell vectors:
Ho 0.000 0.000 0.188
Ho 0.000 0.000 0.812
Tm 0.379 0.379 0.940
Tm 0.621 0.621 0.060
I 0.161 0.161 0.335
I 0.164 0.164 0.824
I 0.500 0.500 0.500
I 0.836 0.836 0.176
I 0.839 0.839 0.665
N 0.500 0.500 0.000

(11)
The following is a calculated X-ray powder pattern of Pr2GdMg5Cd. It was derived from a crystal structure in OQMD, relaxed with GGA-PBE, using Cu Kα X-rays.
Peak positions follow from Bragg's law for the DFT cell and can differ from measured ones.

The 10 most intense peaks (10 to 90 degrees two-theta), low angle first:
d_spacing, 2θ (°), I_rel
4.930, 17.99, 55
3.794, 23.45, 22
3.286, 27.14, 51
3.007, 29.71, 55
2.734, 32.75, 100
2.484, 36.16, 21
2.465, 36.45, 25
1.972, 46.03, 24
1.823, 50.05, 16
1.709, 53.61, 29

Cell and atoms:
a = 4.930 Å, b = 7.586 Å, c = 7.586 Å
α = 119.96°, β = 90.00°, γ = 90.00°
Sites, in units of the cell vectors:
Pr 0.000 0.211 0.789
Pr 0.000 0.789 0.211
Gd 0.000 0.360 0.360
Mg 0.500 0.019 0.019
Mg 0.500 0.123 0.453
Mg 0.500 0.453 0.123
Mg 0.500 0.552 0.786
Mg 0.500 0.786 0.552
Cd 0.000 0.779 0.779

(12)
The following is a calculated X-ray powder pattern of Li2In4PdPt. It was derived from a crystal structure in OQMD, relaxed with GGA-PBE, using Cu Kα X-rays.
Peak positions follow from Bragg's law for the DFT cell and can differ from measured ones.

The 10 most intense peaks (10 to 90 degrees two-theta), low angle first:
d_spacing, 2θ (°), I_rel
4.971, 17.84, 76
4.267, 20.82, 40
3.711, 23.98, 41
3.389, 26.29, 28
2.770, 32.32, 47
2.440, 36.84, 51
2.222, 40.61, 100
2.175, 41.51, 48
2.134, 42.36, 48
2.000, 45.34, 31

Cell and atoms:
a = 8.321 Å, b = 4.000 Å, c = 9.942 Å
α = 90.00°, β = 90.00°, γ = 90.00°
Sites, in units of the cell vectors:
Li 0.000 0.000 0.000
Li 0.000 0.500 0.500
Li 0.500 0.000 0.124
Li 0.500 0.500 0.624
In 0.197 0.000 0.700
In 0.197 0.500 0.200
In 0.302 0.000 0.422
In 0.302 0.500 0.922
In 0.698 0.000 0.422
In 0.698 0.500 0.922
In 0.803 0.000 0.700
In 0.803 0.500 0.200
Pd 0.000 0.000 0.294
Pd 0.000 0.500 0.794
Pt 0.500 0.000 0.830
Pt 0.500 0.500 0.330

(13)
The following is a calculated X-ray powder pattern of YEr2Mg4Al2. It was derived from a crystal structure in OQMD, relaxed with GGA-PBE, using Cu Kα X-rays.
Peak positions follow from Bragg's law for the DFT cell and can differ from measured ones.

The 10 most intense peaks (10 to 90 degrees two-theta), low angle first:
d_spacing, 2θ (°), I_rel
6.465, 13.70, 34
4.549, 19.51, 37
3.722, 23.91, 46
3.222, 27.69, 34
2.882, 31.03, 71
2.631, 34.07, 100
2.442, 36.81, 25
2.275, 39.62, 21
1.859, 49.01, 24
1.665, 55.17, 27

Cell and atoms:
a = 4.549 Å, b = 7.460 Å, c = 7.460 Å
α = 120.26°, β = 90.00°, γ = 90.00°
Sites, in units of the cell vectors:
Y 0.000 0.000 0.000
Er 0.000 0.436 0.874
Er 0.000 0.874 0.436
Mg 0.000 0.439 0.439
Mg 0.500 0.187 0.437
Mg 0.500 0.437 0.187
Mg 0.500 0.686 0.686
Al 0.500 0.103 0.768
Al 0.500 0.768 0.103

(14)
The following is a calculated X-ray powder pattern of CsTbZnTeSe2. It was derived from a crystal structure in OQMD, relaxed with GGA-PBE, using Cu Kα X-rays.
Peak positions follow from Bragg's law for the DFT cell and can differ from measured ones.

The 10 most intense peaks (10 to 90 degrees two-theta), low angle first:
d_spacing, 2θ (°), I_rel
8.461, 10.46, 83
4.757, 18.65, 29
3.492, 25.50, 20
3.263, 27.33, 100
2.929, 30.52, 48
2.876, 31.10, 32
2.408, 37.34, 39
2.133, 42.37, 27
1.975, 45.94, 30
1.906, 47.72, 32

Cell and atoms:
a = 8.726 Å, b = 8.726 Å, c = 11.503 Å
α = 90.00°, β = 90.00°, γ = 151.70°
Sites, in units of the cell vectors:
Cs 0.235 0.765 0.750
Cs 0.765 0.235 0.250
Tb 0.000 0.000 0.000
Tb 0.000 0.000 0.500
Zn 0.472 0.528 0.250
Zn 0.528 0.472 0.750
Te 0.073 0.927 0.250
Te 0.927 0.073 0.750
Se 0.393 0.607 0.069
Se 0.393 0.607 0.431
Se 0.607 0.393 0.569
Se 0.607 0.393 0.931